Structure and calculated powder diffraction line list of V2H2Se2O13 (the PBE+U geometry in the Materials Project; Cu Kα, 1.54184 Å).

Peak list (8 most intense, 10° ≤ 2θ ≤ 80°, by intensity)
| hkl | 2θ (°) | Rel. int. |
| --- | --- | --- |
| 2 0 -2 | 16.73 | 1000 |
| 2 0 0 | 10.71 | 848 |
| 4 0 -2 | 20.20 | 705 |
| 2 0 2 | 26.92 | 539 |
| 0 2 0 | 28.11 | 524 |
| 3 1 -1 | 19.66 | 476 |
| 5 1 1 | 36.32 | 272 |
| 5 1 -3 | 31.22 | 269 |

Structure:
```
data_V2H2Se2O13
_chemical_formula_sum 'V8 H8 Se8 O52'
_space_group_name_H-M_alt 'C 1 2/c 1'
_space_group_IT_number 15
_space_group_name_Hall '-C 2yc'
_cell_length_a 19.349
_cell_length_b 6.348
_cell_length_c 10.602
_cell_angle_alpha 90.00
_cell_angle_beta 121.37
_cell_angle_gamma 90.00
loop_
_atom_site_label
_atom_site_type_symbol
_atom_site_fract_x
_atom_site_fract_y
_atom_site_fract_z
V1 V 0.125 0.229 0.093
H1 H 0.033 0.200 0.559
Se1 Se 0.198 0.270 0.609
O1 O 0.000 0.379 0.750
O2 O 0.020 0.216 0.945
O3 O 0.122 0.099 0.587
O4 O 0.124 0.255 0.243
O5 O 0.137 0.490 0.541
O6 O 0.157 0.119 0.937
O7 O 0.247 0.188 0.202
```